# ZnGaNiF6
Simulated powder X-ray diffraction pattern, a wavelength of 1.5418 Å. Input: a PBE+U-relaxed structure.

Crystal structure
```
data_ZnGaNiF6
_space_group_name_H-M_alt 'P -3 1 c'
_space_group_IT_number 163
_space_group_name_Hall '-P 3 2c'
_cell_length_a 5.2830
_cell_length_b 5.2830
_cell_length_c 9.1004
_cell_angle_alpha 90.00
_cell_angle_beta 90.00
_cell_angle_gamma 120.00
loop_
_atom_site_label
_atom_site_type_symbol
_atom_site_fract_x
_atom_site_fract_y
_atom_site_fract_z
_atom_site_occupancy
Zn1 Zn 0.3333 0.6667 0.2500 1
Ga1 Ga 0.3333 0.6667 0.7500 1
Ni1 Ni 0.0000 0.0000 0.0000 1
F1 F 0.0005 0.3280 0.6273 1
```

Top 8 peaks for 5 to 70 degrees two-theta, in order of rising 2θ:
- 2θ 19.5, rel. 14, hkl 0 0 2
- 2θ 27.6, rel. 100, hkl 1 0 2
- 2θ 33.9, rel. 35, hkl 1 1 0
- 2θ 39.4, rel. 33, hkl 1 1 2
- 2θ 44.3, rel. 27, hkl 2 0 2
- 2θ 53.1, rel. 56, hkl 1 1 4
- 2θ 57.0, rel. 25, hkl 3 -1 2
- 2θ 60.7, rel. 26, hkl 3 0 0